Simulated X-ray powder pattern
Compound: La3MnAl2O9
Radiation: CuKα
Structure: the GGA+U geometry in Alexandria
Intensities are scaled so that the largest is 100.

Crystal structure
```
data_La3MnAl2O9
_chemical_formula_sum 'La3 Mn1 Al2 O9'
_cell_length_a 5.4320
_cell_length_b 5.4320
_cell_length_c 6.6080
_cell_angle_alpha 90.00
_cell_angle_beta 90.00
_cell_angle_gamma 120.00
_symmetry_space_group_name_H-M 'P -3 m 1'
_symmetry_Int_Tables_number 164
_symmetry_space_group_name_Hall '-P 3 2"'
loop_
_atom_site_label
_atom_site_fract_x
_atom_site_fract_y
_atom_site_fract_z
La1 0.0000 0.0000 0.0000
La2 0.3333 0.6667 0.6630
Mn1 0.0000 0.0000 0.5000
Al1 0.3333 0.6667 0.1618
O1 0.0000 0.5000 0.0000
O2 0.1700 0.3400 0.3308
```

Top 10 peaks for 10° ≤ 2θ ≤ 80°, sorted by position:
2θ (°)  d/Å  I_rel  index
23.21  3.832  66  1 0 1
32.98  2.716  100  1 1 0
33.13  2.704  99  0 1 2
40.72  2.216  50  0 2 1
47.45  1.916  69  2 0 2
58.96  1.567  58  3 0 0
59.29  1.559  19  1 0 4
69.18  1.358  20  2 2 0
69.54  1.352  20  0 2 4
78.88  1.214  17  3 1 2